No. 1
Computed X-ray diffraction stick pattern
Compound: Na3In2Pb3
Radiation: Cu Kα X-rays
Structure: a crystal structure in Alexandria, relaxed with PBE
Kinematic intensities with the Lorentz-polarization factor, no thermal factor.

Top 8 peaks for 5° ≤ 2θ ≤ 70°, by angle:
4.707 Å, intensity 51
3.953 Å, intensity 53
2.719 Å, intensity 100
2.570 Å, intensity 20
2.545 Å, intensity 24
2.225 Å, intensity 20
2.140 Å, intensity 23
1.500 Å, intensity 17

Crystal structure
abc: 6.690 6.690 15.418
angles: 90.00 90.00 135.29
Positions (direct):
Na 0.073 0.927 0.607
Na 0.073 0.927 0.893
Na 0.296 0.704 0.750
Na 0.704 0.296 0.250
Na 0.927 0.073 0.107
Na 0.927 0.073 0.393
In 0.236 0.764 0.089
In 0.236 0.764 0.411
In 0.764 0.236 0.589
In 0.764 0.236 0.911
Pb 0.394 0.606 0.250
Pb 0.407 0.593 0.568
Pb 0.407 0.593 0.932
Pb 0.593 0.407 0.068
Pb 0.593 0.407 0.432
Pb 0.606 0.394 0.750

=====

No. 2
Computed X-ray diffraction stick pattern
Compound: CuAgPb
Radiation: Cu Kα X-rays
Structure: a crystal structure in Alexandria, relaxed with PBE
Kinematic intensities with the Lorentz-polarization factor, no thermal factor.

Top 8 peaks for 5° ≤ 2θ ≤ 70°, by angle:
3.045 Å, intensity 50
2.772 Å, intensity 58
2.586 Å, intensity 100
2.513 Å, intensity 27
2.324 Å, intensity 26
2.105 Å, intensity 50
1.838 Å, intensity 16
1.547 Å, intensity 21

Crystal structure
abc: 11.223 4.209 5.252
angles: 90.00 99.76 90.00
Positions (direct):
Cu 0.227 0.000 0.365
Cu 0.273 0.500 0.635
Cu 0.727 0.500 0.365
Cu 0.773 0.000 0.635
Ag 0.069 0.500 0.275
Ag 0.431 0.000 0.725
Ag 0.569 0.000 0.275
Ag 0.931 0.500 0.725
Pb 0.131 0.000 0.830
Pb 0.369 0.500 0.170
Pb 0.631 0.500 0.830
Pb 0.869 0.000 0.170

=====

No. 3
Computed X-ray diffraction stick pattern
Compound: KLi6IrO6
Radiation: Cu Kα X-rays
Structure: a crystal structure in Alexandria, relaxed with PBE
Kinematic intensities with the Lorentz-polarization factor, no thermal factor.

Top 8 peaks for 5° ≤ 2θ ≤ 70°, by angle:
5.088 Å, intensity 100
4.143 Å, intensity 97
3.219 Å, intensity 99
2.542 Å, intensity 32
2.392 Å, intensity 24
2.168 Å, intensity 65
1.696 Å, intensity 19
1.606 Å, intensity 21

Crystal structure
abc: 5.355 5.355 5.355
angles: 101.39 101.39 101.39
Positions (direct):
K 0.000 0.000 0.000
Li 0.162 0.500 0.838
Li 0.162 0.838 0.500
Li 0.500 0.162 0.838
Li 0.500 0.838 0.162
Li 0.838 0.162 0.500
Li 0.838 0.500 0.162
Ir 0.500 0.500 0.500
O 0.226 0.226 0.577
O 0.226 0.577 0.226
O 0.423 0.774 0.774
O 0.577 0.226 0.226
O 0.774 0.423 0.774
O 0.774 0.774 0.423

=====

No. 4
Computed X-ray diffraction stick pattern
Compound: TlIn5O8
Radiation: Cu Kα X-rays
Structure: a crystal structure in Alexandria, relaxed with PBE
Kinematic intensities with the Lorentz-polarization factor, no thermal factor.

Top 8 peaks for 5° ≤ 2θ ≤ 70°, by angle:
3.345 Å, intensity 38
2.853 Å, intensity 100
2.731 Å, intensity 17
1.931 Å, intensity 15
1.821 Å, intensity 39
1.673 Å, intensity 38
1.443 Å, intensity 13
1.426 Å, intensity 9

Crystal structure
abc: 6.691 6.691 6.691
angles: 60.00 60.00 60.00
Positions (direct):
Tl 0.000 0.000 0.000
In 0.122 0.626 0.626
In 0.250 0.250 0.250
In 0.626 0.122 0.626
In 0.626 0.626 0.122
In 0.626 0.626 0.626
O 0.386 0.386 0.386
O 0.386 0.386 0.843
O 0.386 0.843 0.386
O 0.428 0.857 0.857
O 0.843 0.386 0.386
O 0.857 0.428 0.857
O 0.857 0.857 0.428
O 0.857 0.857 0.857

=====

No. 5
Computed X-ray diffraction stick pattern
Compound: TmHf2O
Radiation: Cu Kα X-rays
Structure: a crystal structure in Alexandria, relaxed with PBE
Kinematic intensities with the Lorentz-polarization factor, no thermal factor.

Top 8 peaks for 5° ≤ 2θ ≤ 70°, by angle:
2.870 Å, intensity 46
2.808 Å, intensity 100
2.760 Å, intensity 26
2.243 Å, intensity 34
2.126 Å, intensity 74
1.906 Å, intensity 19
1.631 Å, intensity 34
1.418 Å, intensity 34

Crystal structure
abc: 3.262 3.262 25.831
angles: 90.00 90.00 120.00
Positions (direct):
Tm 0.000 0.000 0.000
Tm 0.333 0.667 0.667
Tm 0.667 0.333 0.333
Hf 0.000 0.000 0.119
Hf 0.000 0.000 0.881
Hf 0.333 0.667 0.548
Hf 0.333 0.667 0.786
Hf 0.667 0.333 0.214
Hf 0.667 0.333 0.452
O 0.000 0.000 0.500
O 0.333 0.667 0.167
O 0.667 0.333 0.833

=====

No. 6
Computed X-ray diffraction stick pattern
Compound: LiZrS3
Radiation: Cu Kα X-rays
Structure: a crystal structure in Alexandria, relaxed with PBE
Kinematic intensities with the Lorentz-polarization factor, no thermal factor.

Top 8 peaks for 5° ≤ 2θ ≤ 70°, by angle:
8.909 Å, intensity 33
5.278 Å, intensity 100
3.079 Å, intensity 43
2.789 Å, intensity 46
2.364 Å, intensity 55
2.245 Å, intensity 27
2.200 Å, intensity 31
1.858 Å, intensity 32

Crystal structure
abc: 9.089 9.089 6.552
angles: 90.00 90.00 157.11
Positions (direct):
Li 0.155 0.845 0.500
Li 0.845 0.155 0.000
Zr 0.343 0.657 0.460
Zr 0.657 0.343 0.960
S 0.091 0.909 0.154
S 0.250 0.750 0.814
S 0.425 0.575 0.165
S 0.575 0.425 0.665
S 0.750 0.250 0.314
S 0.909 0.091 0.654